Structure and calculated XRD peak list of Ac8NiOs3 (a cell relaxed with GGA-PBE; Cu Kα X-rays).

Crystal structure
```
data_Ac8NiOs3
_chemical_formula_sum 'Ac8 Ni1 Os3'
_symmetry_space_group_name_H-M 'P 1'
_symmetry_Int_Tables_number 1
_symmetry_space_group_name_Hall 'P 1'
_cell_length_a 9.5848
_cell_length_b 9.5848
_cell_length_c 9.5427
_cell_angle_alpha 107.19
_cell_angle_beta 107.19
_cell_angle_gamma 35.97
loop_
_atom_site_label
_atom_site_type_symbol
_atom_site_fract_x
_atom_site_fract_y
_atom_site_fract_z
Ac1 Ac 0.0000 0.0000 0.0000
Ac2 Ac 0.1076 0.1076 0.6495
Ac3 Ac 0.2190 0.2190 0.3142
Ac4 Ac 0.3229 0.3229 0.9613
Ac5 Ac 0.4356 0.4356 0.6649
Ac6 Ac 0.5354 0.5354 0.3216
Ac7 Ac 0.6461 0.6461 0.9754
Ac8 Ac 0.7549 0.7549 0.6308
Ni1 Ni 0.1675 0.1675 0.9986
Os1 Os 0.2730 0.2730 0.6185
Os2 Os 0.4852 0.4852 0.0102
Os3 Os 0.5856 0.5856 0.6290
```

Peak list (10 most intense, 2θ = 10–90°, by intensity)
- 2θ = 30.2°, intensity 100
- 2θ = 29.4°, intensity 97
- 2θ = 29.5°, intensity 95
- 2θ = 42.6°, intensity 72
- 2θ = 42.8°, intensity 71
- 2θ = 15.8°, intensity 70
- 2θ = 25.7°, intensity 69
- 2θ = 25.6°, intensity 66
- 2θ = 52.6°, intensity 36
- 2θ = 52.9°, intensity 35